Record 1
Simulated PXRD pattern of K3HoF8 for Cu Kα (weighted mean of Kα1 and Kα2), from the PBE geometry in Alexandria.
Lines closer than 0.1° are merged.

The 6 most intense peaks (15° ≤ 2θ ≤ 90°), by angle:
2θ (°)  intensity
16.43  72
20.87  16
25.54  100
42.24  52
42.47  25
50.22  28

Structure:
Unit cell a=7.4259 b=7.4259 c=7.4259 alpha=132.18 beta=132.18 gamma=69.95
Positions (direct):
K 0.0000 0.0000 0.0000
K 0.2500 0.7500 0.5000
K 0.7500 0.2500 0.5000
Ho 0.5000 0.5000 0.0000
F 0.1742 0.1742 0.5672
F 0.1742 0.6070 0.0000
F 0.3930 0.3930 0.5672
F 0.3930 0.8258 0.0000
F 0.6070 0.1742 0.0000
F 0.6070 0.6070 0.4328
F 0.8258 0.3930 0.0000
F 0.8258 0.8258 0.4328

---

Record 2
Simulated PXRD pattern of Rb2HgH10 for Cu Kα (weighted mean of Kα1 and Kα2), from the PBE geometry in Alexandria.
Lines closer than 0.1° are merged.

The 6 most intense peaks (15° ≤ 2θ ≤ 90°), by angle:
2θ (°)  intensity
23.50  77
25.13  50
25.53  100
25.88  38
27.83  42
32.17  48

Structure:
Unit cell a=9.1887 b=11.1402 c=4.4767 alpha=90.00 beta=90.00 gamma=90.00
Positions (direct):
Rb 0.1516 0.2336 0.0000
Rb 0.3484 0.7336 0.0000
Rb 0.6516 0.2664 0.0000
Rb 0.8484 0.7664 0.0000
Hg 0.0000 0.5000 0.5000
Hg 0.5000 0.0000 0.5000
H 0.0398 0.0111 0.5000
H 0.1501 0.8022 0.5000
H 0.2031 0.8582 0.5000
H 0.2401 0.9768 0.0868
H 0.2401 0.9768 0.9132
H 0.2599 0.4768 0.0868
H 0.2599 0.4768 0.9132
H 0.2969 0.3582 0.5000
H 0.3499 0.3022 0.5000
H 0.4602 0.5111 0.5000
H 0.5398 0.4889 0.5000
H 0.6501 0.6978 0.5000
H 0.7031 0.6418 0.5000
H 0.7401 0.5232 0.0868
H 0.7401 0.5232 0.9132
H 0.7599 0.0232 0.0868
H 0.7599 0.0232 0.9132
H 0.7969 0.1418 0.5000
H 0.8499 0.1978 0.5000
H 0.9602 0.9889 0.5000

---

Repeat the first record exactly.
Simulated PXRD pattern of K3HoF8 for Cu Kα (weighted mean of Kα1 and Kα2), from the PBE geometry in Alexandria.
Lines closer than 0.1° are merged.

The 6 most intense peaks (15° ≤ 2θ ≤ 90°), by angle:
2θ (°)  intensity
16.43  72
20.87  16
25.54  100
42.24  52
42.47  25
50.22  28

Structure:
Unit cell a=7.4259 b=7.4259 c=7.4259 alpha=132.18 beta=132.18 gamma=69.95
Positions (direct):
K 0.0000 0.0000 0.0000
K 0.2500 0.7500 0.5000
K 0.7500 0.2500 0.5000
Ho 0.5000 0.5000 0.0000
F 0.1742 0.1742 0.5672
F 0.1742 0.6070 0.0000
F 0.3930 0.3930 0.5672
F 0.3930 0.8258 0.0000
F 0.6070 0.1742 0.0000
F 0.6070 0.6070 0.4328
F 0.8258 0.3930 0.0000
F 0.8258 0.8258 0.4328